# Zr2Ni7
Simulated powder XRD pattern, Cu Kα, 1.54184 Å. Input: DFT lattice parameters and positions (PBE).
Lines closer than 0.1° are merged.

Top 12 peaks for 10 to 90 degrees two-theta, sorted by position:
| d [Å] | 2theta | I_rel |
| --- | --- | --- |
| 2.436 | 36.9 | 29 |
| 2.344 | 38.4 | 47 |
| 2.334 | 38.6 | 37 |
| 2.161 | 41.8 | 27 |
| 2.108 | 42.9 | 38 |
| 2.087 | 43.4 | 100 |
| 2.030 | 44.6 | 30 |
| 2.015 | 45.0 | 59 |
| 1.996 | 45.4 | 96 |
| 1.977 | 45.9 | 23 |
| 1.943 | 46.7 | 41 |
| 1.183 | 81.4 | 24 |

Atomic structure:
```
Zr2Ni7
1.0
2.346 -4.116 0.000
2.346 4.116 0.000
-1.739 0.000 6.044
Zr Ni
2 7
Cartesian
0.030 0.000 1.642 Zr
2.922 0.000 4.402 Zr
1.173 2.058 0.000 Ni
0.611 1.365 3.967 Ni
2.341 1.365 2.077 Ni
1.173 -2.058 0.000 Ni
2.346 0.000 0.000 Ni
0.611 -1.365 3.967 Ni
2.341 -1.365 2.077 Ni
```

***

# Zr7Ni10
Simulated powder XRD pattern, Cu Kα, 1.54184 Å. Input: DFT lattice parameters and positions (PBE).
Lines closer than 0.1° are merged.

Top 12 peaks for 10 to 90 degrees two-theta, sorted by position:
| d [Å] | 2theta | I_rel |
| --- | --- | --- |
| 2.384 | 37.7 | 44 |
| 2.376 | 37.9 | 44 |
| 2.308 | 39.0 | 24 |
| 2.294 | 39.3 | 23 |
| 2.244 | 40.2 | 100 |
| 2.163 | 41.8 | 14 |
| 2.151 | 42.0 | 14 |
| 2.137 | 42.3 | 21 |
| 2.067 | 43.8 | 15 |
| 1.921 | 47.3 | 18 |
| 1.627 | 56.6 | 19 |
| 1.158 | 83.5 | 12 |

Atomic structure:
```
Zr7Ni10
1.0
6.200 -4.587 0.000
6.200 4.587 0.000
0.000 0.000 9.234
Zr Ni
14 20
Cartesian
0.000 0.000 0.000 Zr
3.100 2.278 2.308 Zr
6.200 2.867 6.349 Zr
2.374 0.000 4.617 Zr
3.826 0.000 0.000 Zr
6.200 1.720 1.732 Zr
3.100 -2.278 6.925 Zr
6.200 0.000 4.617 Zr
9.300 2.278 2.308 Zr
6.200 -1.720 7.502 Zr
8.574 0.000 0.000 Zr
10.025 0.000 4.617 Zr
6.200 -2.867 2.885 Zr
9.300 -2.278 6.925 Zr
4.404 2.695 9.172 Ni
6.200 3.615 3.642 Ni
1.814 0.055 7.321 Ni
4.404 1.892 4.555 Ni
1.814 -0.055 1.913 Ni
4.386 0.055 6.529 Ni
7.995 2.695 9.172 Ni
4.386 -0.055 2.704 Ni
6.200 0.972 8.259 Ni
7.995 1.892 4.555 Ni
4.404 -1.892 4.679 Ni
6.200 -0.972 0.975 Ni
8.014 0.055 6.529 Ni
4.404 -2.695 0.062 Ni
8.014 -0.055 2.704 Ni
10.586 0.055 7.321 Ni
7.995 -1.892 4.679 Ni
10.586 -0.055 1.913 Ni
6.200 -3.615 5.592 Ni
7.995 -2.695 0.062 Ni
```

***

# Np
Simulated powder XRD pattern, Cu Kα, 1.54184 Å. Input: DFT lattice parameters and positions (PBE).
Lines closer than 0.1° are merged.

Top 12 peaks for 10 to 90 degrees two-theta, sorted by position:
| d [Å] | 2theta | I_rel |
| --- | --- | --- |
| 2.982 | 30.0 | 43 |
| 2.715 | 33.0 | 51 |
| 2.398 | 37.5 | 18 |
| 2.347 | 38.4 | 100 |
| 2.333 | 38.6 | 55 |
| 2.253 | 40.0 | 15 |
| 2.029 | 44.7 | 23 |
| 1.770 | 51.7 | 30 |
| 1.621 | 56.8 | 14 |
| 1.553 | 59.5 | 29 |
| 1.350 | 69.7 | 18 |
| 1.131 | 86.0 | 20 |

Atomic structure:
```
Np
1.0
6.587 0.000 0.000
0.000 4.667 0.000
0.000 0.000 4.796
Np
8
Cartesian
0.295 1.167 1.045 Np
1.199 3.500 1.727 Np
2.095 1.167 4.125 Np
2.998 3.500 3.443 Np
3.588 1.167 1.353 Np
4.492 3.500 0.671 Np
5.388 1.167 3.069 Np
6.291 3.500 3.752 Np
```

***

# Np
Simulated powder XRD pattern, Cu Kα, 1.54184 Å. Input: DFT lattice parameters and positions (PBE).
Lines closer than 0.1° are merged.

Top 12 peaks for 10 to 90 degrees two-theta, sorted by position:
| d [Å] | 2theta | I_rel |
| --- | --- | --- |
| 3.470 | 25.7 | 11 |
| 2.773 | 32.3 | 62 |
| 2.377 | 37.9 | 100 |
| 2.307 | 39.0 | 91 |
| 1.773 | 51.5 | 35 |
| 1.631 | 56.4 | 32 |
| 1.532 | 60.4 | 36 |
| 1.345 | 70.0 | 35 |
| 1.328 | 71.0 | 10 |
| 1.200 | 79.9 | 10 |
| 1.153 | 83.9 | 11 |
| 1.117 | 87.3 | 27 |

Atomic structure:
```
Np
1.0
4.613 0.000 0.000
0.000 4.613 0.000
0.000 0.000 3.470
Np
4
Cartesian
1.153 1.153 0.629 Np
1.153 3.460 1.735 Np
3.460 1.153 1.735 Np
3.460 3.460 2.840 Np
```

***

# Np
Simulated powder XRD pattern, Cu Kα, 1.54184 Å. Input: DFT lattice parameters and positions (PBE).
Lines closer than 0.1° are merged.

Top 4 peaks for 10 to 90 degrees two-theta, sorted by position:
| d [Å] | 2theta | I_rel |
| --- | --- | --- |
| 2.324 | 38.7 | 100 |
| 1.643 | 56.0 | 18 |
| 1.342 | 70.1 | 37 |
| 1.162 | 83.1 | 12 |

Atomic structure:
```
Np
1.0
-1.643 1.643 1.643
1.643 -1.643 1.643
1.643 1.643 -1.643
Np
1
Cartesian
0.000 0.000 0.000 Np
```

***

# Np2O5
Simulated powder XRD pattern, Cu Kα, 1.54184 Å. Input: DFT lattice parameters and positions (PBE).
Lines closer than 0.1° are merged.

Top 12 peaks for 10 to 90 degrees two-theta, sorted by position:
| d [Å] | 2theta | I_rel |
| --- | --- | --- |
| 4.181 | 21.2 | 85 |
| 3.442 | 25.9 | 100 |
| 3.337 | 26.7 | 42 |
| 2.657 | 33.7 | 76 |
| 2.608 | 34.4 | 33 |
| 2.091 | 43.3 | 17 |
| 1.946 | 46.7 | 21 |
| 1.811 | 50.4 | 17 |
| 1.787 | 51.1 | 32 |
| 1.772 | 51.6 | 15 |
| 1.764 | 51.8 | 24 |
| 1.591 | 58.0 | 18 |

Atomic structure:
```
Np2O5
1.0
4.636 -3.337 0.000
4.636 3.337 0.000
-3.469 0.000 7.247
Np O
4 10
Cartesian
0.000 0.000 0.000 Np
-1.734 0.000 3.624 Np
2.034 0.245 5.435 Np
3.768 -0.245 1.812 Np
2.034 2.640 5.435 O
0.295 0.207 4.623 O
4.422 1.343 0.272 O
2.030 -0.207 1.000 O
3.115 1.343 3.351 O
2.688 -1.343 3.896 O
3.773 0.207 6.247 O
1.380 -1.343 6.975 O
5.507 -0.207 2.624 O
3.768 -2.640 1.812 O
```

***

# RbNpO3
Simulated powder XRD pattern, Cu Kα, 1.54184 Å. Input: DFT lattice parameters and positions (PBE).
Lines closer than 0.1° are merged.

Top 12 peaks for 10 to 90 degrees two-theta, sorted by position:
| d [Å] | 2theta | I_rel |
| --- | --- | --- |
| 4.331 | 20.5 | 33 |
| 3.063 | 29.2 | 100 |
| 2.501 | 35.9 | 4 |
| 2.166 | 41.7 | 28 |
| 1.937 | 46.9 | 16 |
| 1.768 | 51.7 | 42 |
| 1.531 | 60.5 | 18 |
| 1.444 | 64.5 | 8 |
| 1.370 | 68.5 | 19 |
| 1.250 | 76.1 | 6 |
| 1.201 | 79.8 | 3 |
| 1.158 | 83.5 | 23 |

Atomic structure:
```
RbNpO3
1.0
4.331 0.000 0.000
0.000 4.331 0.000
0.000 0.000 4.331
Rb Np O
1 1 3
Cartesian
0.000 0.000 0.000 Rb
2.166 2.166 2.166 Np
0.000 2.166 2.166 O
2.166 0.000 2.166 O
2.166 2.166 0.000 O
```

***

# Rb2Np2O5
Simulated powder XRD pattern, Cu Kα, 1.54184 Å. Input: DFT lattice parameters and positions (PBE).
Lines closer than 0.1° are merged.

Top 12 peaks for 10 to 90 degrees two-theta, sorted by position:
| d [Å] | 2theta | I_rel |
| --- | --- | --- |
| 4.469 | 19.9 | 18 |
| 4.355 | 20.4 | 27 |
| 3.119 | 28.6 | 100 |
| 3.079 | 29.0 | 43 |
| 2.235 | 40.4 | 13 |
| 2.177 | 41.5 | 25 |
| 1.809 | 50.5 | 19 |
| 1.785 | 51.2 | 41 |
| 1.559 | 59.3 | 16 |
| 1.183 | 81.3 | 10 |
| 1.172 | 82.2 | 10 |
| 1.166 | 82.8 | 11 |

Atomic structure:
```
Rb2Np2O5
1.0
4.355 0.000 0.000
0.000 4.355 0.000
0.000 0.000 8.939
Rb Np O
2 2 5
Cartesian
0.000 0.000 0.000 Rb
0.000 0.000 4.469 Rb
2.177 2.177 2.150 Np
2.177 2.177 6.788 Np
0.000 2.177 2.358 O
0.000 2.177 6.581 O
2.177 0.000 2.358 O
2.177 0.000 6.581 O
2.177 2.177 0.000 O
```